# 1
Starting from a crystal structure in Alexandria, relaxed with GGA-PBE, the X-ray diffraction stick pattern of Ca3Bi5Pd6 was calculated for Cu Kα, 1.54184 Å.
Kinematic intensities with the Lorentz-polarization factor, no thermal factor.

Structural model:
```
Ca3Bi5Pd6
1.0
-2.437 5.135 6.543
2.437 -5.135 6.543
2.437 5.135 -6.543
Ca Bi Pd
3 5 6
Cartesian
0.000 0.000 0.000 Ca
0.000 0.000 3.966 Ca
0.000 0.000 9.120 Ca
2.437 -1.625 2.173 Bi
2.437 1.625 2.173 Bi
0.000 5.135 0.000 Bi
0.000 3.510 4.370 Bi
0.000 6.759 4.370 Bi
2.437 -2.330 4.990 Pd
2.437 3.548 0.000 Pd
0.000 2.804 1.553 Pd
2.437 2.330 4.990 Pd
0.000 1.587 6.543 Pd
0.000 7.465 1.553 Pd
```

The 10 most intense peaks (5° ≤ 2θ ≤ 70°), most intense first:
36.88 deg, 2.437 Å, rel. 100; 34.84 deg, 2.575 Å, rel. 98; 22.14 deg, 4.015 Å, rel. 85; 40.30 deg, 2.238 Å, rel. 82; 42.48 deg, 2.128 Å, rel. 76; 20.16 deg, 4.404 Å, rel. 58; 27.44 deg, 3.251 Å, rel. 57; 33.27 deg, 2.693 Å, rel. 54; 32.45 deg, 2.759 Å, rel. 51; 17.27 deg, 5.135 Å, rel. 49

# 2
Starting from a crystal structure in Alexandria, relaxed with GGA-PBE, the X-ray diffraction stick pattern of KH6PdRh was calculated for Cu Kα, 1.54184 Å.
Kinematic intensities with the Lorentz-polarization factor, no thermal factor.

Structural model:
```
KH6PdRh
1.0
4.273 -2.646 0.000
4.273 2.646 0.000
-0.006 0.000 4.431
K H Pd Rh
1 6 1 1
Cartesian
0.000 0.000 0.000 K
3.109 1.664 2.212 H
5.622 1.750 2.220 H
4.224 0.000 1.272 H
4.222 0.000 3.154 H
3.109 -1.664 2.212 H
5.622 -1.750 2.220 H
5.789 0.000 2.215 Pd
2.843 0.000 2.213 Rh
```

The 10 most intense peaks (5° ≤ 2θ ≤ 70°), most intense first:
28.27 deg, 3.157 Å, rel. 100; 20.04 deg, 4.431 Å, rel. 97; 35.80 deg, 2.508 Å, rel. 82; 29.03 deg, 3.076 Å, rel. 62; 41.37 deg, 2.183 Å, rel. 52; 33.88 deg, 2.646 Å, rel. 50; 55.33 deg, 1.660 Å, rel. 47; 45.21 deg, 2.006 Å, rel. 34; 40.73 deg, 2.215 Å, rel. 31; 39.68 deg, 2.272 Å, rel. 29

# 3
Starting from a crystal structure in Alexandria, relaxed with GGA-PBE, the X-ray diffraction stick pattern of TmIn4CuSe8 was calculated for Cu Kα, 1.54184 Å.
Kinematic intensities with the Lorentz-polarization factor, no thermal factor.

Structural model:
```
TmIn4CuSe8
1.0
4.057 2.342 6.556
-4.057 2.342 6.556
0.000 -4.684 6.556
Tm In Cu Se
1 4 1 8
Cartesian
0.000 0.000 0.000 Tm
0.000 -2.467 3.515 In
-2.136 1.233 3.515 In
0.000 0.000 7.587 In
2.136 1.233 3.515 In
0.000 0.000 12.479 Cu
0.000 0.000 4.898 Se
0.000 -2.512 8.438 Se
-2.175 1.256 8.438 Se
-2.018 -1.165 11.630 Se
2.018 -1.165 11.630 Se
0.000 2.331 11.630 Se
0.000 0.000 14.980 Se
2.175 1.256 8.438 Se
```

The 10 most intense peaks (5° ≤ 2θ ≤ 70°), most intense first:
31.29 deg, 2.858 Å, rel. 100; 25.81 deg, 3.452 Å, rel. 73; 44.68 deg, 2.028 Å, rel. 70; 45.01 deg, 2.014 Å, rel. 67; 40.97 deg, 2.203 Å, rel. 44; 25.96 deg, 3.432 Å, rel. 30; 13.38 deg, 6.617 Å, rel. 26; 65.28 deg, 1.429 Å, rel. 21; 55.55 deg, 1.654 Å, rel. 18; 21.91 deg, 4.057 Å, rel. 16

# 4
Starting from a crystal structure in Alexandria, relaxed with GGA-PBE, the X-ray diffraction stick pattern of Ba14Hg6Pt3 was calculated for Cu Kα, 1.54184 Å.
Kinematic intensities with the Lorentz-polarization factor, no thermal factor.

Structural model:
```
Ba14Hg6Pt3
1.0
11.902 0.000 0.000
-5.951 10.308 0.000
0.000 0.000 8.351
Ba Hg Pt
14 6 3
Cartesian
0.000 0.000 0.000 Ba
-2.191 5.602 2.457 Ba
-2.289 8.186 6.251 Ba
0.006 4.233 6.251 Ba
2.215 1.274 3.719 Ba
3.714 2.147 7.975 Ba
2.195 5.609 2.457 Ba
-0.004 9.404 2.457 Ba
2.282 8.197 6.251 Ba
5.951 3.436 4.221 Ba
8.186 2.143 7.975 Ba
5.953 6.018 7.975 Ba
9.691 1.281 3.719 Ba
5.947 7.752 3.719 Ba
-3.297 8.766 1.385 Hg
0.008 3.069 1.385 Hg
5.940 0.450 5.717 Hg
3.371 4.938 5.717 Hg
3.289 8.780 1.385 Hg
8.542 4.919 5.717 Hg
0.000 0.000 5.376 Pt
0.000 6.872 4.398 Pt
5.951 3.436 1.247 Pt
```

The 10 most intense peaks (5° ≤ 2θ ≤ 70°), most intense first:
30.03 deg, 2.976 Å, rel. 100; 27.49 deg, 3.244 Å, rel. 96; 25.22 deg, 3.531 Å, rel. 81; 28.08 deg, 3.177 Å, rel. 64; 36.69 deg, 2.449 Å, rel. 62; 20.25 deg, 4.386 Å, rel. 60; 45.76 deg, 1.983 Å, rel. 34; 36.49 deg, 2.462 Å, rel. 25; 37.10 deg, 2.423 Å, rel. 24; 48.12 deg, 1.891 Å, rel. 22